1.
Structure and computed XRD peak list of Ca3MnH3S2O14 (a structure optimized by DFT (PBE+U); Cu Kα, 1.54184 Å).
Lines closer than 0.1° are merged.

Cell and atoms:
a b c (Å): 9.2263 9.2263 10.7797
angles (deg): 90.00 90.00 120.00
Space group P6_3/mmc (No. 194)
Unique sites:
Ca 0.1398 0.2797 0.2500 (multiplicity 6)
Mn 0.0000 0.0000 0.0000 (multiplicity 2)
H 0.0757 0.5378 0.7500 (multiplicity 6)
S 0.3333 0.6667 0.0598 (multiplicity 4)
O 0.0862 0.1725 0.6183 (multiplicity 12)
O 0.2458 0.4916 0.1064 (multiplicity 12)
O 0.3333 0.6667 0.5775 (multiplicity 4)

Principal peaks in the range 10 to 90 degrees two-theta, sorted by position:
d_spacing, 2θ/deg, Rel. int.
7.990, 11.07, 83
6.419, 13.80, 59
4.613, 19.24, 100
3.746, 23.75, 18
3.505, 25.41, 77
2.672, 33.54, 25
2.388, 37.67, 25
2.308, 39.02, 20
2.140, 42.24, 23
1.753, 52.17, 21

2.
Structure and computed XRD peak list of Li3TiCr3O8 (a structure optimized by DFT (PBE+U); Cu Kα, 1.54184 Å).
Lines closer than 0.1° are merged.

Cell and atoms:
a b c (Å): 10.285 5.923 6.014
angles (deg): 90.00 124.81 90.00
Space group C2 (No. 5)
Unique sites:
Li 0.000 0.000 0.000 (multiplicity 2)
Li 0.250 0.250 0.000 (multiplicity 4)
Ti 0.000 0.998 0.500 (multiplicity 2)
Cr 0.000 0.498 0.500 (multiplicity 2)
Cr 0.249 0.251 0.499 (multiplicity 4)
O 0.008 0.241 0.283 (multiplicity 4)
O 0.010 0.757 0.285 (multiplicity 4)
O 0.233 0.001 0.716 (multiplicity 4)
O 0.241 0.501 0.723 (multiplicity 4)

Principal peaks in the range 10 to 90 degrees two-theta, sorted by position:
d_spacing, 2θ/deg, Rel. int.
4.938, 17.96, 100
2.530, 35.48, 35
2.426, 37.05, 8
2.110, 42.85, 70
1.940, 46.82, 10
1.633, 56.34, 14
1.502, 61.77, 18
1.484, 62.61, 13
1.481, 62.75, 6
1.421, 65.72, 9

3.
Structure and computed XRD peak list of Mo2P2O11 (a structure optimized by DFT (PBE+U); Cu Kα, 1.54184 Å).
Lines closer than 0.1° are merged.

Cell and atoms:
a b c (Å): 12.781 6.394 10.671
angles (deg): 90.00 90.00 90.00
Space group Pnma (No. 62)
Unique sites:
Mo 0.006 0.250 0.219 (multiplicity 4)
Mo 0.250 0.250 0.488 (multiplicity 4)
P 0.023 0.250 0.689 (multiplicity 4)
P 0.158 0.750 0.495 (multiplicity 4)
O 0.027 0.057 0.774 (multiplicity 8)
O 0.056 0.250 0.070 (multiplicity 4)
O 0.090 0.750 0.609 (multiplicity 4)
O 0.091 0.750 0.369 (multiplicity 4)
O 0.103 0.250 0.585 (multiplicity 4)
O 0.118 0.250 0.314 (multiplicity 4)
O 0.157 0.750 0.865 (multiplicity 4)
O 0.173 0.750 0.118 (multiplicity 4)
O 0.229 0.557 0.481 (multiplicity 8)

Principal peaks in the range 10 to 90 degrees two-theta, sorted by position:
d_spacing, 2θ/deg, Rel. int.
5.485, 16.16, 13
5.040, 17.60, 23
4.096, 21.70, 100
3.901, 22.79, 13
3.365, 26.49, 19
3.197, 27.91, 49
2.520, 35.62, 19
2.048, 44.23, 11
1.977, 45.91, 15
1.488, 62.39, 10

4.
Structure and computed XRD peak list of Rb3NaMgW2O8 (a structure optimized by DFT (PBE+U); Cu Kα, 1.54184 Å).
Lines closer than 0.1° are merged.

Cell and atoms:
a b c (Å): 6.2944 6.2944 8.8750
angles (deg): 90.00 90.00 120.00
Space group P3m1 (No. 156)
Unique sites:
Rb 0.0000 0.0000 0.0000 (multiplicity 1)
Rb 0.3333 0.6667 0.3033 (multiplicity 1)
Rb 0.6667 0.3333 0.6782 (multiplicity 1)
Na 0.3333 0.6667 0.9399 (multiplicity 1)
Mg 0.3333 0.6667 0.6398 (multiplicity 1)
W 0.0000 0.0000 0.5567 (multiplicity 1)
W 0.6667 0.3333 0.1442 (multiplicity 1)
O 0.0000 0.0000 0.3456 (multiplicity 1)
O 0.1626 0.3252 0.6678 (multiplicity 3)
O 0.5104 0.0209 0.0702 (multiplicity 3)
O 0.6667 0.3333 0.3465 (multiplicity 1)

Principal peaks in the range 10 to 90 degrees two-theta, sorted by position:
d_spacing, 2θ/deg, Rel. int.
4.645, 19.11, 50
4.438, 20.01, 24
3.441, 25.89, 72
3.147, 28.36, 100
2.601, 34.49, 25
2.567, 34.95, 18
2.322, 38.77, 37
2.055, 44.07, 19
1.869, 48.73, 26
1.817, 50.21, 20

5.
Structure and computed XRD peak list of Li3Co3SbO8 (a structure optimized by DFT (PBE+U); Cu Kα, 1.54184 Å).
Lines closer than 0.1° are merged.

Cell and atoms:
a b c (Å): 6.050 6.058 10.403
angles (deg): 74.36 73.31 60.18
Space group P-1 (No. 2)
Unique sites:
Li 0.000 0.000 0.000 (multiplicity 1)
Li 0.000 0.000 0.500 (multiplicity 1)
Li 0.246 0.755 0.255 (multiplicity 2)
Li 0.500 0.500 0.000 (multiplicity 1)
Li 0.500 0.500 0.500 (multiplicity 1)
Co 0.000 0.500 0.000 (multiplicity 1)
Co 0.246 0.250 0.751 (multiplicity 2)
Co 0.250 0.247 0.250 (multiplicity 2)
Co 0.500 0.000 0.500 (multiplicity 1)
Sb 0.000 0.500 0.500 (multiplicity 1)
Sb 0.500 0.000 0.000 (multiplicity 1)
O 0.089 0.613 0.126 (multiplicity 2)
O 0.117 0.608 0.622 (multiplicity 2)
O 0.121 0.150 0.616 (multiplicity 2)
O 0.155 0.110 0.121 (multiplicity 2)
O 0.352 0.373 0.383 (multiplicity 2)
O 0.357 0.360 0.891 (multiplicity 2)
O 0.383 0.893 0.877 (multiplicity 2)
O 0.413 0.880 0.372 (multiplicity 2)

Principal peaks in the range 10 to 90 degrees two-theta, sorted by position:
d_spacing, 2θ/deg, Rel. int.
4.959, 17.89, 100
2.605, 34.43, 16
2.562, 35.02, 14
2.557, 35.09, 15
2.480, 36.23, 12
2.460, 36.53, 11
2.165, 41.72, 21
2.130, 42.43, 19
2.122, 42.62, 19
1.517, 61.09, 12